For Pm3Bi3H2, DFT lattice parameters and positions (PBE) gives the theoretical powder X-ray diffraction pattern in this record (copper Kα).

Principal peaks in the range 2θ from 10° to 90°, in order of falling intensity:
d_spacing, Rel. int.
2.792, 100.0
2.889, 56.7
2.842, 35.2
2.606, 32.4
3.157, 28.6
2.089, 26.3
2.632, 22.9
3.000, 21.3
3.298, 17.8
3.827, 17.7
1.586, 17.5
1.466, 17.2

Atomic structure:
Unit cell a=6.3530 b=6.3530 c=15.7936 alpha=90.00 beta=90.00 gamma=141.61
Element x y z (fractional)
Pm  0.1462  0.8538  0.5511
Pm  0.1462  0.8538  0.9489
Pm  0.1564  0.8436  0.2500
Pm  0.8436  0.1564  0.7500
Pm  0.8538  0.1462  0.0511
Pm  0.8538  0.1462  0.4489
Bi  0.1233  0.8767  0.7500
Bi  0.4357  0.5643  0.6072
Bi  0.4357  0.5643  0.8928
Bi  0.5643  0.4357  0.1072
Bi  0.5643  0.4357  0.3928
Bi  0.8767  0.1233  0.2500
H  0.2726  0.7274  0.0575
H  0.2726  0.7274  0.4425
H  0.7274  0.2726  0.5575
H  0.7274  0.2726  0.9425

For PmBiH, DFT lattice parameters and positions (PBE) gives the theoretical powder X-ray diffraction pattern in this record (copper Kα).

Principal peaks in the range 2θ from 10° to 90°, in order of falling intensity:
d_spacing, Rel. int.
2.872, 100.0
2.846, 76.1
2.985, 67.6
3.040, 43.5
3.121, 38.2
2.609, 36.7
2.434, 27.5
3.288, 23.9
1.999, 23.8
3.171, 22.8
1.627, 18.5
1.737, 18.4

Atomic structure:
Unit cell a=6.7656 b=8.0957 c=10.2067 alpha=90.00 beta=90.00 gamma=90.00
Element x y z (fractional)
Pm  0.1258  0.2500  0.2500
Pm  0.2500  0.0000  0.5724
Pm  0.2500  0.5000  0.9276
Pm  0.3742  0.7500  0.2500
Pm  0.6258  0.2500  0.7500
Pm  0.7500  0.0000  0.4276
Pm  0.7500  0.5000  0.0724
Pm  0.8742  0.7500  0.7500
Bi  0.0438  0.1332  0.8854
Bi  0.0438  0.3668  0.6146
Bi  0.4562  0.6332  0.6146
Bi  0.4562  0.8668  0.8854
Bi  0.5438  0.1332  0.1146
Bi  0.5438  0.3668  0.3854
Bi  0.9562  0.6332  0.3854
Bi  0.9562  0.8668  0.1146
H  0.0686  0.0607  0.4005
H  0.0686  0.4393  0.0995
H  0.4314  0.5607  0.0995
H  0.4314  0.9393  0.4005
H  0.5686  0.0607  0.5995
H  0.5686  0.4393  0.9005
H  0.9314  0.5607  0.9005
H  0.9314  0.9393  0.5995

For PmBiH6Rh3, DFT lattice parameters and positions (PBE) gives the theoretical powder X-ray diffraction pattern in this record (copper Kα).

Principal peaks in the range 2θ from 10° to 90°, in order of falling intensity:
d_spacing, Rel. int.
3.706, 100.0
2.089, 85.4
2.529, 66.3
2.327, 56.4
2.737, 43.0
2.202, 37.8
2.140, 34.4
1.401, 29.6
1.247, 25.3
3.459, 24.5
2.989, 20.3
1.360, 19.9

Atomic structure:
Unit cell a=5.0797 b=5.0797 c=5.0797 alpha=93.69 beta=93.69 gamma=93.69
Element x y z (fractional)
Pm  0.0000  0.0000  0.0000
Bi  0.5897  0.5897  0.5897
H  0.0651  0.4754  0.2311
H  0.0660  0.4563  0.8813
H  0.2311  0.0651  0.4754
H  0.4563  0.8813  0.0660
H  0.4754  0.2311  0.0651
H  0.8813  0.0660  0.4563
Rh  0.0766  0.3596  0.5479
Rh  0.3596  0.5479  0.0766
Rh  0.5479  0.0766  0.3596